Zn2C3N6: theoretical powder X-ray diffraction pattern (Cu Kα, 1.54184 Å), based on DFT lattice parameters and positions (GGA-PBE).
No peak broadening, texture or thermal motion is included.

Most intense lines, 2θ from 10° to 90°, low angle first:
2θ/deg	I_rel
18.3	41
19.1	77
21.8	52
31.5	24
32.9	29
35.9	14
36.7	100
49.5	50
56.1	26
66.7	16

Cell and atoms:
```
Zn2C3N6
1.0
2.838 1.639 9.679
-2.838 1.639 9.679
0.000 -3.277 9.679
Zn C N
4 6 12
direct
0.164 0.164 0.164 Zn
0.336 0.336 0.336 Zn
0.664 0.664 0.664 Zn
0.836 0.836 0.836 Zn
0.060 0.750 0.440 C
0.250 0.560 0.940 C
0.440 0.060 0.750 C
0.560 0.940 0.250 C
0.750 0.440 0.060 C
0.940 0.250 0.560 C
0.039 0.659 0.427 N
0.073 0.841 0.461 N
0.159 0.539 0.927 N
0.341 0.573 0.961 N
0.427 0.039 0.659 N
0.461 0.073 0.841 N
0.539 0.927 0.159 N
0.573 0.961 0.341 N
0.659 0.427 0.039 N
0.841 0.461 0.073 N
0.927 0.159 0.539 N
0.961 0.341 0.573 N
```

---

ZnC8N6: theoretical powder X-ray diffraction pattern (Cu Kα, 1.54184 Å), based on DFT lattice parameters and positions (GGA-PBE).
No peak broadening, texture or thermal motion is included.

Most intense lines, 2θ from 10° to 90°, low angle first:
2θ/deg	I_rel
14.5	59
16.7	17
22.0	100
23.5	50
26.4	15
27.8	21
30.2	52
33.6	30
43.9	16
44.8	17

Cell and atoms:
```
ZnC8N6
1.0
7.495 0.000 0.000
0.000 5.388 0.000
0.000 0.000 10.644
Zn C N
2 16 12
direct
0.000 0.000 0.000 Zn
0.500 0.000 0.500 Zn
0.000 0.393 0.252 C
0.000 0.415 0.659 C
0.000 0.585 0.341 C
0.000 0.607 0.748 C
0.159 0.309 0.616 C
0.159 0.691 0.384 C
0.341 0.309 0.884 C
0.341 0.691 0.116 C
0.500 0.393 0.248 C
0.500 0.415 0.841 C
0.500 0.585 0.159 C
0.500 0.607 0.752 C
0.659 0.309 0.884 C
0.659 0.691 0.116 C
0.841 0.309 0.616 C
0.841 0.691 0.384 C
0.000 0.234 0.176 N
0.000 0.766 0.824 N
0.210 0.217 0.923 N
0.210 0.783 0.077 N
0.290 0.217 0.577 N
0.290 0.783 0.423 N
0.500 0.234 0.324 N
0.500 0.766 0.676 N
0.710 0.217 0.577 N
0.710 0.783 0.423 N
0.790 0.217 0.923 N
0.790 0.783 0.077 N
```

---

Zr6C3N2: theoretical powder X-ray diffraction pattern (Cu Kα, 1.54184 Å), based on DFT lattice parameters and positions (GGA-PBE).
No peak broadening, texture or thermal motion is included.

Most intense lines, 2θ from 10° to 90°, low angle first:
2θ/deg	I_rel
31.5	14
32.3	23
35.6	100
45.8	23
56.2	20
59.8	21
66.3	17
68.3	14
75.3	5
86.5	7

Cell and atoms:
```
Zr6C3N2
1.0
5.672 0.000 0.000
-2.836 4.912 0.000
0.000 0.000 5.540
Zr C N
6 3 2
direct
0.000 0.343 0.257 Zr
0.000 0.657 0.743 Zr
0.343 0.000 0.257 Zr
0.343 0.343 0.743 Zr
0.657 0.000 0.743 Zr
0.657 0.657 0.257 Zr
0.000 0.000 0.500 C
0.333 0.667 0.000 C
0.667 0.333 0.000 C
0.333 0.667 0.500 N
0.667 0.333 0.500 N
```

---

Zr5CN: theoretical powder X-ray diffraction pattern (Cu Kα, 1.54184 Å), based on DFT lattice parameters and positions (GGA-PBE).
No peak broadening, texture or thermal motion is included.

Most intense lines, 2θ from 10° to 90°, low angle first:
2θ/deg	I_rel
30.0	25
31.3	26
32.1	59
32.3	100
34.2	81
35.6	28
36.1	41
39.5	34
42.3	26
44.7	30

Cell and atoms:
```
Zr5CN
1.0
5.020 -3.331 0.000
5.020 3.331 0.000
-4.004 0.000 7.736
Zr C N
10 2 2
direct
0.107 0.893 0.750 Zr
0.176 0.324 0.674 Zr
0.235 0.622 0.050 Zr
0.324 0.176 0.174 Zr
0.378 0.765 0.450 Zr
0.622 0.235 0.550 Zr
0.676 0.824 0.826 Zr
0.765 0.378 0.950 Zr
0.824 0.676 0.326 Zr
0.893 0.107 0.250 Zr
0.000 0.000 0.000 C
0.000 0.000 0.500 C
0.433 0.567 0.750 N
0.567 0.433 0.250 N
```

---

Zr6C2N3: theoretical powder X-ray diffraction pattern (Cu Kα, 1.54184 Å), based on DFT lattice parameters and positions (GGA-PBE).
No peak broadening, texture or thermal motion is included.

Most intense lines, 2θ from 10° to 90°, low angle first:
2θ/deg	I_rel
31.7	14
32.6	23
35.8	100
46.1	23
56.5	20
60.2	21
66.8	17
68.7	14
75.8	5
87.2	7

Cell and atoms:
```
Zr6C2N3
1.0
5.639 0.000 0.000
-2.819 4.883 0.000
0.000 0.000 5.499
Zr C N
6 2 3
direct
0.000 0.340 0.244 Zr
0.000 0.660 0.756 Zr
0.340 0.000 0.244 Zr
0.340 0.340 0.756 Zr
0.660 0.000 0.756 Zr
0.660 0.660 0.244 Zr
0.333 0.667 0.000 C
0.667 0.333 0.000 C
0.000 0.000 0.000 N
0.333 0.667 0.500 N
0.667 0.333 0.500 N
```

---

Zr6C3N: theoretical powder X-ray diffraction pattern (Cu Kα, 1.54184 Å), based on DFT lattice parameters and positions (GGA-PBE).
No peak broadening, texture or thermal motion is included.

Most intense lines, 2θ from 10° to 90°, low angle first:
2θ/deg	I_rel
31.1	16
33.4	22
35.4	100
46.3	20
55.3	20
61.0	20
66.2	18
67.4	14
74.9	4
86.9	7

Cell and atoms:
```
Zr6C3N
1.0
2.875 1.660 5.368
-2.875 1.660 5.368
0.000 -3.320 5.368
Zr C N
6 3 1
direct
0.001 0.677 0.322 Zr
0.173 0.503 0.824 Zr
0.322 0.001 0.677 Zr
0.503 0.824 0.173 Zr
0.677 0.322 0.001 Zr
0.824 0.173 0.503 Zr
0.090 0.090 0.090 C
0.411 0.411 0.411 C
0.589 0.589 0.589 C
0.911 0.911 0.911 N
```

---

Zr4C3N: theoretical powder X-ray diffraction pattern (Cu Kα, 1.54184 Å), based on DFT lattice parameters and positions (GGA-PBE).
No peak broadening, texture or thermal motion is included.

Most intense lines, 2θ from 10° to 90°, low angle first:
2θ/deg	I_rel
33.0	100
38.3	81
55.3	52
65.9	41
69.2	17
82.0	8

Cell and atoms:
```
Zr4C3N
1.0
1.663 0.960 10.848
-1.663 0.960 10.848
0.000 -1.920 10.848
Zr C N
4 3 1
direct
0.124 0.124 0.124 Zr
0.375 0.375 0.375 Zr
0.625 0.625 0.625 Zr
0.876 0.876 0.876 Zr
0.000 0.000 0.000 C
0.248 0.248 0.248 C
0.752 0.752 0.752 C
0.500 0.500 0.500 N
```

---

NaC: theoretical powder X-ray diffraction pattern (Cu Kα, 1.54184 Å), based on DFT lattice parameters and positions (GGA-PBE).
No peak broadening, texture or thermal motion is included.

Most intense lines, 2θ from 10° to 90°, low angle first:
2θ/deg	I_rel
23.3	53
26.3	32
28.2	13
30.3	20
36.5	36
37.5	36
39.0	100
46.8	16
49.0	22
56.4	17

Cell and atoms:
```
NaC
1.0
-3.391 3.391 6.321
3.391 -3.391 6.321
3.391 3.391 -6.321
Na C
8 8
direct
0.061 0.250 0.311 Na
0.250 0.439 0.189 Na
0.250 0.939 0.689 Na
0.439 0.750 0.189 Na
0.561 0.250 0.811 Na
0.750 0.061 0.311 Na
0.750 0.561 0.811 Na
0.939 0.750 0.689 Na
0.059 0.441 0.750 C
0.191 0.309 0.750 C
0.309 0.059 0.118 C
0.441 0.191 0.382 C
0.559 0.809 0.618 C
0.691 0.941 0.882 C
0.809 0.691 0.250 C
0.941 0.559 0.250 C
```

---

Na2C: theoretical powder X-ray diffraction pattern (Cu Kα, 1.54184 Å), based on DFT lattice parameters and positions (GGA-PBE).
No peak broadening, texture or thermal motion is included.

Most intense lines, 2θ from 10° to 90°, low angle first:
2θ/deg	I_rel
24.9	11
28.8	56
41.2	100
48.8	3
51.1	16
59.7	14
65.7	1
67.6	18
75.1	25
89.5	7

Cell and atoms:
```
Na2C
1.0
0.000 3.097 3.097
3.097 0.000 3.097
3.097 3.097 0.000
Na C
2 1
direct
0.250 0.250 0.250 Na
0.750 0.750 0.750 Na
0.000 0.000 0.000 C
```

---

NaC: theoretical powder X-ray diffraction pattern (Cu Kα, 1.54184 Å), based on DFT lattice parameters and positions (GGA-PBE).
No peak broadening, texture or thermal motion is included.

Most intense lines, 2θ from 10° to 90°, low angle first:
2θ/deg	I_rel
21.5	17
25.5	25
26.9	35
33.0	27
39.2	100
43.3	21
43.8	19
55.3	14
55.5	11
63.3	11

Cell and atoms:
```
NaC
1.0
-2.088 2.717 3.188
2.088 -2.717 3.188
2.088 2.717 -3.188
Na C
2 2
direct
0.245 0.245 0.000 Na
0.755 0.755 0.000 Na
0.384 0.000 0.384 C
0.616 0.000 0.616 C
```

---

NaNdC2O6: theoretical powder X-ray diffraction pattern (Cu Kα, 1.54184 Å), based on DFT lattice parameters and positions (GGA-PBE).
No peak broadening, texture or thermal motion is included.

Most intense lines, 2θ from 10° to 90°, low angle first:
2θ/deg	I_rel
13.7	33
17.1	51
18.5	59
24.9	22
25.4	43
30.4	100
35.1	43
39.6	22
45.5	26
46.8	33

Cell and atoms:
```
NaNdC2O6
1.0
5.171 0.000 0.000
0.000 6.444 0.000
0.000 0.000 7.154
Na Nd C O
2 2 4 12
direct
0.000 0.023 0.000 Na
0.000 0.977 0.500 Na
0.500 0.365 0.301 Nd
0.500 0.635 0.801 Nd
0.000 0.470 0.972 C
0.000 0.530 0.472 C
0.500 0.083 0.715 C
0.500 0.917 0.215 C
0.000 0.354 0.384 O
0.000 0.646 0.884 O
0.221 0.383 0.010 O
0.221 0.617 0.510 O
0.287 0.013 0.252 O
0.287 0.987 0.752 O
0.500 0.267 0.638 O
0.500 0.733 0.138 O
0.713 0.013 0.252 O
0.713 0.987 0.752 O
0.779 0.383 0.010 O
0.779 0.617 0.510 O
```

---

NaNdPCO7: theoretical powder X-ray diffraction pattern (Cu Kα, 1.54184 Å), based on DFT lattice parameters and positions (GGA-PBE).
No peak broadening, texture or thermal motion is included.

Most intense lines, 2θ from 10° to 90°, low angle first:
2θ/deg	I_rel
15.1	60
19.8	24
20.2	28
21.3	20
21.9	59
24.8	100
25.4	23
26.2	41
34.7	23
36.5	18

Cell and atoms:
```
NaNdPCO7
1.0
4.929 0.000 0.000
0.000 7.195 0.000
-0.224 0.000 10.207
Na Nd P C O
2 2 2 2 14
direct
0.203 0.000 0.279 Na
0.797 0.500 0.721 Na
0.223 0.129 0.864 Nd
0.777 0.629 0.136 Nd
0.314 0.636 0.920 P
0.686 0.136 0.080 P
0.278 0.213 0.575 C
0.722 0.713 0.425 C
0.041 0.224 0.627 O
0.191 0.459 0.858 O
0.211 0.810 0.848 O
0.246 0.644 0.071 O
0.308 0.189 0.454 O
0.370 0.125 0.082 O
0.480 0.225 0.658 O
0.520 0.725 0.342 O
0.630 0.625 0.918 O
0.692 0.689 0.546 O
0.754 0.144 0.929 O
0.789 0.310 0.152 O
0.809 0.959 0.142 O
0.959 0.724 0.373 O
```

---

> Which formula does entry 10 have?

NaC